Starting from a cell relaxed with PBE+U, the powder diffraction line list of Fe2H4O2F5 was simulated for Cu Kα (weighted mean of Kα1 and Kα2).
Intensities are scaled so that the largest is 100.

Main lines, low angle first (2θ from 5° to 70°):
5.676 Å, 15.6 deg, intensity 100; 4.975 Å, 17.8 deg, intensity 36; 3.713 Å, 24.0 deg, intensity 42; 3.239 Å, 27.5 deg, intensity 38; 3.152 Å, 28.3 deg, intensity 37; 3.135 Å, 28.5 deg, intensity 57; 2.838 Å, 31.5 deg, intensity 34; 2.111 Å, 42.8 deg, intensity 18; 1.894 Å, 48.0 deg, intensity 26; 1.856 Å, 49.1 deg, intensity 41

Crystal structure
abc: 7.507 7.507 7.507
angles: 119.34 84.01 127.90
Atoms (fractional coordinates):
Fe (0.000, 0.000, 0.000)
Fe (0.500, 0.000, 0.000)
Fe (0.500, 0.000, 0.500)
Fe (0.500, 0.500, 0.500)
H (0.031, 0.516, 0.307)
H (0.031, 0.724, 0.515)
H (0.292, 0.276, 0.807)
H (0.292, 0.484, 0.015)
H (0.708, 0.516, 0.985)
H (0.708, 0.724, 0.193)
H (0.969, 0.276, 0.485)
H (0.969, 0.484, 0.693)
O (0.134, 0.699, 0.435)
O (0.237, 0.301, 0.935)
O (0.763, 0.699, 0.065)
O (0.866, 0.301, 0.565)
F (0.173, 0.253, 0.331)
F (0.173, 0.842, 0.920)
F (0.417, 0.667, 0.750)
F (0.422, 0.253, 0.580)
F (0.422, 0.842, 0.169)
F (0.578, 0.158, 0.831)
F (0.578, 0.747, 0.420)
F (0.583, 0.333, 0.250)
F (0.827, 0.158, 0.080)
F (0.827, 0.747, 0.669)